# ZnP2WO7
Calculated X-ray powder pattern, Cu Kα (λ = 1.5418 Å). Input: a GGA+U-relaxed structure.
No peak broadening, texture or thermal motion is included.

Structure:
Lattice parameters (Å, degrees): 6.7176 6.7227 7.0127 67.86 85.19 81.52
Sites, in units of the cell vectors:
Zn1 0.1757 0.1477 0.3942
Zn2 0.8243 0.8523 0.6058
P1 0.1371 0.7240 0.2589
P2 0.3827 0.8448 0.8540
P3 0.6173 0.1552 0.1460
P4 0.8629 0.2760 0.7411
W1 0.3462 0.4023 0.7188
W2 0.6538 0.5977 0.2812
O1 0.0214 0.4111 0.7534
O2 0.0581 0.8880 0.3611
O3 0.2132 0.8596 0.0312
O4 0.3114 0.7136 0.7440
O5 0.3286 0.5717 0.3721
O6 0.3852 0.0808 0.7056
O7 0.4179 0.2542 0.0362
O8 0.5821 0.7458 0.9638
O9 0.6148 0.9192 0.2944
O10 0.6714 0.4283 0.6279
O11 0.6886 0.2864 0.2560
O12 0.7868 0.1404 0.9688
O13 0.9419 0.1120 0.6389
O14 0.9786 0.5889 0.2466

The 10 most intense peaks (10° ≤ 2θ ≤ 90°), by intensity:
| Position (°2θ) | I/Imax |
| --- | --- |
| 30.62 | 100 |
| 26.99 | 95 |
| 28.31 | 67 |
| 19.41 | 60 |
| 29.84 | 60 |
| 27.60 | 59 |
| 20.83 | 59 |
| 27.48 | 58 |
| 15.72 | 56 |
| 13.33 | 44 |